(1)
Theoretical PXRD pattern
Compound: Cs2FeCu2Se4
Radiation: copper Kα
Structure: a cell relaxed with GGA-PBE

Atomic structure:
Lattice parameters (Å, degrees): 5.8402 5.8402 14.3482 90.00 90.00 90.00
Space group P4_2/mcm (No. 132)
One atom of each set of equivalent atoms:
Cs1 0.2426 0.2426 0.0000 [4 per cell]
Fe1 0.5000 0.5000 0.2500 [2 per cell]
Cu1 0.0000 0.5000 0.2500 [4 per cell]
Se1 0.2609 0.2609 0.3430 [8 per cell]

Peak list (12 most intense, 2θ = 10–90°, low angle first)
24.84°, I 9
28.56°, I 100
30.62°, I 18
33.12°, I 24
43.85°, I 27
49.25°, I 38
53.16°, I 33
62.44°, I 9
63.74°, I 9
79.41°, I 9
84.54°, I 15
87.60°, I 8

(2)
Theoretical PXRD pattern
Compound: HoAuSeO
Radiation: copper Kα
Structure: a cell relaxed with GGA-PBE

Atomic structure:
Lattice parameters (Å, degrees): 19.1885 5.5877 5.6070 90.00 90.00 90.00
Space group Aea2 (No. 41)
One atom of each set of equivalent atoms:
Ho1 0.0567 0.2500 0.0000 [8 per cell]
Au1 0.2498 0.0024 0.0031 [8 per cell]
Se1 0.1387 0.2514 0.5007 [8 per cell]
O1 0.0000 0.0000 0.2501 [4 per cell]
O2 0.0000 0.0000 0.7501 [4 per cell]

Peak list (12 most intense, 2θ = 10–90°, low angle first)
18.50°, I 55
27.90°, I 41
29.25°, I 99
31.92°, I 100
33.40°, I 84
36.11°, I 69
37.22°, I 65
42.92°, I 44
46.88°, I 81
49.85°, I 36
50.12°, I 33
58.27°, I 36

(3)
Theoretical PXRD pattern
Compound: CuSi17Ge13P
Radiation: copper Kα
Structure: a cell relaxed with GGA-PBE

Atomic structure:
Lattice parameters (Å, degrees): 5.5536 3.9171 31.5135 90.00 90.72 90.00
Space group Pm (No. 6)
One atom of each set of equivalent atoms:
Cu1 0.0000 0.0000 0.0000 [1 per cell]
Si1 0.0119 0.0000 0.8814 [1 per cell]
Si2 0.2242 0.0000 0.0641 [1 per cell]
Si3 0.2443 0.0000 0.3178 [1 per cell]
Si4 0.2551 0.0000 0.5678 [1 per cell]
Si5 0.4971 0.5000 0.5679 [1 per cell]
Si6 0.5056 0.5000 0.1883 [1 per cell]
Si7 0.5081 0.5000 0.4401 [1 per cell]
Si8 0.5105 0.5000 0.6895 [1 per cell]
Si9 0.7491 0.5000 0.1277 [1 per cell]
Si10 0.7491 0.5000 0.7520 [1 per cell]
Si11 0.7552 0.5000 0.6282 [1 per cell]
Si12 0.7559 0.5000 0.3796 [1 per cell]
Si13 0.7665 0.5000 0.0075 [1 per cell]
Si14 0.7678 0.5000 0.8804 [1 per cell]
Si15 0.9917 0.0000 0.1261 [1 per cell]
Si16 0.9961 0.0000 0.3781 [1 per cell]
Si17 0.9981 0.0000 0.6272 [1 per cell]
Ge1 0.0000 0.0000 0.7528 [1 per cell]
Ge2 0.0075 0.0000 0.2535 [1 per cell]
Ge3 0.0082 0.0000 0.5046 [1 per cell]
Ge4 0.2522 0.0000 0.8180 [1 per cell]
Ge5 0.2538 0.0000 0.1885 [1 per cell]
Ge6 0.2565 0.0000 0.4398 [1 per cell]
Ge7 0.2575 0.0000 0.6892 [1 per cell]
Ge8 0.4827 0.5000 0.0646 [1 per cell]
Ge9 0.4956 0.5000 0.3177 [1 per cell]
Ge10 0.5113 0.5000 0.9426 [1 per cell]
Ge11 0.5175 0.5000 0.8165 [1 per cell]
Ge12 0.7434 0.5000 0.5047 [1 per cell]
Ge13 0.7436 0.5000 0.2528 [1 per cell]
P1 0.2444 0.0000 0.9420 [1 per cell]

Peak list (12 most intense, 2θ = 10–90°, low angle first)
11.23°, I 12
19.68°, I 7
27.60°, I 33
27.89°, I 100
46.04°, I 47
46.42°, I 47
54.52°, I 15
54.83°, I 18
54.96°, I 19
67.45°, I 15
74.82°, I 7
84.99°, I 8